For Th3Pd2Rh2, DFT lattice parameters and positions (GGA-PBE) gives the computed X-ray diffraction stick pattern in this record (CuKα).

Structural model:
a b c (Å): 8.6297 8.6297 8.6297
angles (deg): 90.00 90.00 90.00
Space group I2_13 (No. 199)
Asymmetric unit:
Th 0.0000 0.2500 0.3620 [12 per cell]
Pd 0.1595 0.3405 0.6595 [8 per cell]
Rh 0.0782 0.0782 0.0782 [8 per cell]

Main lines, in order of falling intensity (2θ from 10° to 90°):
d (Å), Position (°2θ), I/Imax, h k l
2.729, 32.82, 100.0, 3 0 1
2.306, 39.05, 80.4, 3 1 2
3.523, 25.28, 41.2, 2 1 1
1.400, 66.83, 33.0, 6 1 1
1.930, 47.09, 28.9, 4 2 0
1.840, 49.54, 18.3, 3 3 2
1.174, 82.06, 18.2, 7 2 1
1.332, 70.75, 17.8, 5 1 4